# 1
Starting from the PBE geometry in Alexandria, the X-ray diffraction stick pattern of Na6CrN4 was simulated for CuKα.
Lines closer than 0.1° are merged.

Crystal structure
```
data_Na6CrN4
_chemical_formula_sum 'Na12 Cr2 N8'
_symmetry_space_group_name_H-M 'P 1'
_symmetry_Int_Tables_number 1
_symmetry_space_group_name_Hall 'P 1'
_cell_length_a 7.3340
_cell_length_b 7.3340
_cell_length_c 5.7888
_cell_angle_alpha 90.00
_cell_angle_beta 90.00
_cell_angle_gamma 90.00
loop_
_atom_site_label
_atom_site_type_symbol
_atom_site_fract_x
_atom_site_fract_y
_atom_site_fract_z
Na1 Na 0.0430 0.5430 0.2500
Na2 Na 0.0430 0.9570 0.2500
Na3 Na 0.2500 0.2500 0.0935
Na4 Na 0.2500 0.2500 0.5935
Na5 Na 0.4570 0.5430 0.2500
Na6 Na 0.4570 0.9570 0.2500
Na7 Na 0.5430 0.0430 0.7500
Na8 Na 0.5430 0.4570 0.7500
Na9 Na 0.7500 0.7500 0.4065
Na10 Na 0.7500 0.7500 0.9065
Na11 Na 0.9570 0.0430 0.7500
Na12 Na 0.9570 0.4570 0.7500
Cr1 Cr 0.2500 0.7500 0.7500
Cr2 Cr 0.7500 0.2500 0.2500
N1 N 0.0442 0.7500 0.5820
N2 N 0.2500 0.5442 0.9180
N3 N 0.2500 0.9558 0.9180
N4 N 0.4558 0.7500 0.5820
N5 N 0.5442 0.2500 0.4180
N6 N 0.7500 0.0442 0.0820
N7 N 0.7500 0.4558 0.0820
N8 N 0.9558 0.2500 0.4180
```

Most intense lines, 10° ≤ 2θ ≤ 80°, low angle first:
two_theta	d (Å)	I_rel
19.54	4.544	81
31.35	2.854	100
34.59	2.593	67
35.52	2.527	39
40.04	2.252	87
41.62	2.170	46
47.05	1.931	52
49.73	1.833	45

=====

# 2
Starting from the PBE geometry in Alexandria, the X-ray diffraction stick pattern of NaPr2CrN4 was simulated for CuKα.
Lines closer than 0.1° are merged.

Crystal structure
```
data_NaPr2CrN4
_chemical_formula_sum 'Na1 Pr2 Cr1 N4'
_symmetry_space_group_name_H-M 'P 1'
_symmetry_Int_Tables_number 1
_symmetry_space_group_name_Hall 'P 1'
_cell_length_a 5.7691
_cell_length_b 5.7596
_cell_length_c 5.7396
_cell_angle_alpha 60.22
_cell_angle_beta 60.06
_cell_angle_gamma 59.72
loop_
_atom_site_label
_atom_site_type_symbol
_atom_site_fract_x
_atom_site_fract_y
_atom_site_fract_z
Na1 Na 0.0000 0.0000 0.0000
Pr1 Pr 0.2493 0.2493 0.2507
Pr2 Pr 0.7493 0.7493 0.7507
Cr1 Cr 0.4988 0.4988 0.5012
N1 N 0.1962 0.5835 0.8038
N2 N 0.4134 0.8008 0.1992
N3 N 0.5835 0.1962 0.4165
N4 N 0.8008 0.4134 0.5866
```

Most intense lines, 10° ≤ 2θ ≤ 80°, low angle first:
two_theta	d (Å)	I_rel
21.71	4.093	16
21.90	4.058	34
31.03	2.882	100
31.17	2.870	37
38.30	2.350	19
44.58	2.033	10
55.12	1.666	22
55.37	1.659	36